1.
For La5Sm2Er3, a DFT-relaxed cell (GGA-PBE, Alexandria) gives the calculated X-ray powder pattern in this record (Cu Kα (weighted mean of Kα1 and Kα2)).
Intensities are scaled so that the largest is 100.

Cell and atoms:
Unit cell a=10.961 b=14.875 c=10.192 alpha=90.00 beta=122.32 gamma=90.00
Space group C2/c (No. 15)
Symmetry-distinct sites (fractional):
La 0.000 0.018 0.250 [4 per cell]
La 0.000 0.226 0.250 [4 per cell]
La 0.000 0.477 0.750 [4 per cell]
La 0.249 0.370 0.249 [8 per cell]
Sm 0.156 0.129 0.062 [8 per cell]
Er 0.000 0.270 0.750 [4 per cell]
Er 0.151 0.374 0.558 [8 per cell]

Main lines, low angle first (2θ = 10–80°):
hkl, 2θ (°), intensity
2 2 1, 28.97, 92.8
2 4 -2, 30.86, 100.0
0 4 2, 31.79, 21.8
4 0 -2, 32.68, 47.2
0 2 3, 33.46, 19.2
2 6 -1, 39.91, 14.7
0 6 3, 48.52, 22.0
6 4 -4, 57.19, 17.3
4 8 -2, 60.14, 13.5
2 4 -6, 61.78, 17.6

=====

2.
For Pd2PtCl6, a DFT-relaxed cell (GGA-PBE, Alexandria) gives the calculated X-ray powder pattern in this record (Cu Kα (weighted mean of Kα1 and Kα2)).
Intensities are scaled so that the largest is 100.

Cell and atoms:
Unit cell a=13.239 b=13.271 c=6.635 alpha=90.00 beta=108.18 gamma=90.00
Space group C2/c (No. 15)
Symmetry-distinct sites (fractional):
Pd 0.243 0.072 0.404 [8 per cell]
Pt 0.000 0.160 0.250 [4 per cell]
Cl 0.135 0.158 0.570 [8 per cell]
Cl 0.137 0.158 0.103 [8 per cell]
Cl 0.152 0.499 0.279 [8 per cell]

Main lines, low angle first (2θ = 10–80°):
hkl, 2θ (°), intensity
1 1 -1, 15.16, 85.6
0 2 1, 19.43, 100.0
1 3 0, 21.29, 71.4
1 3 -1, 24.33, 18.8
2 4 -1, 31.71, 14.6
2 0 2, 35.59, 26.7
4 2 -2, 36.10, 14.4
5 1 -2, 38.80, 17.7
3 1 2, 41.42, 19.2
2 6 0, 43.37, 15.8

=====

Copy entry 2 word for word.
For Pd2PtCl6, a DFT-relaxed cell (GGA-PBE, Alexandria) gives the calculated X-ray powder pattern in this record (Cu Kα (weighted mean of Kα1 and Kα2)).
Intensities are scaled so that the largest is 100.

Cell and atoms:
Unit cell a=13.239 b=13.271 c=6.635 alpha=90.00 beta=108.18 gamma=90.00
Space group C2/c (No. 15)
Symmetry-distinct sites (fractional):
Pd 0.243 0.072 0.404 [8 per cell]
Pt 0.000 0.160 0.250 [4 per cell]
Cl 0.135 0.158 0.570 [8 per cell]
Cl 0.137 0.158 0.103 [8 per cell]
Cl 0.152 0.499 0.279 [8 per cell]

Main lines, low angle first (2θ = 10–80°):
hkl, 2θ (°), intensity
1 1 -1, 15.16, 85.6
0 2 1, 19.43, 100.0
1 3 0, 21.29, 71.4
1 3 -1, 24.33, 18.8
2 4 -1, 31.71, 14.6
2 0 2, 35.59, 26.7
4 2 -2, 36.10, 14.4
5 1 -2, 38.80, 17.7
3 1 2, 41.42, 19.2
2 6 0, 43.37, 15.8